Structure and computed powder diffractogram of K8VSe6 (a DFT-relaxed cell (GGA-PBE, Alexandria); Cu Kα, 1.54184 Å).
Peak positions follow from Bragg's law for the DFT cell and can differ from measured ones.

Top 10 peaks for 2θ = 10–80°, in order of rising 2θ:
- 7.700 Å, 2θ 11.49, I = 417, hkl 1 0 1
- 3.996 Å, 2θ 22.25, I = 367, hkl 0 1 3
- 3.932 Å, 2θ 22.61, I = 350, hkl 2 1 1
- 3.850 Å, 2θ 23.10, I = 512, hkl 2 0 2
- 3.081 Å, 2θ 28.98, I = 288, hkl 2 2 1
- 3.039 Å, 2θ 29.39, I = 298, hkl 2 1 3
- 2.866 Å, 2θ 31.21, I = 1000, hkl 2 2 2
- 2.742 Å, 2θ 32.65, I = 593, hkl 2 0 4
- 2.636 Å, 2θ 34.01, I = 298, hkl 0 3 2
- 2.340 Å, 2θ 38.47, I = 441, hkl 4 0 0

Atomic structure:
```
K8VSe6
1.0
9.360 0.000 0.000
0.000 8.586 0.000
0.000 0.000 13.545
K V Se
16 2 12
Direct
0.000 0.025 0.049
0.000 0.132 0.500
0.196 0.482 0.356
0.228 0.927 0.302
0.230 0.668 0.618
0.270 0.332 0.118
0.272 0.073 0.802
0.304 0.518 0.856
0.500 0.868 0.000
0.500 0.975 0.549
0.696 0.518 0.856
0.728 0.073 0.802
0.730 0.332 0.118
0.770 0.668 0.618
0.772 0.927 0.302
0.804 0.482 0.356
0.000 0.639 0.992
0.500 0.361 0.492
0.000 0.205 0.259
0.000 0.372 0.944
0.000 0.763 0.454
0.000 0.787 0.843
0.206 0.704 0.086
0.294 0.296 0.586
0.500 0.213 0.343
0.500 0.237 0.954
0.500 0.628 0.444
0.500 0.795 0.759
0.706 0.296 0.586
0.794 0.704 0.086
```